1.
Diffraction record for Cs3LaO3. The XRD peak list is calculated, not measured: it uses a cell relaxed with GGA-PBE and CuKα.
Intensities are scaled so that the largest is 100.

Main lines, by angle (2θ from 5° to 70°):
d/Å  I_rel
3.584  71
3.461  100
3.373  43
3.342  78
3.316  72
2.644  32
2.634  30
1.940  34
1.857  30
1.849  32

Atomic structure:
```
data_Cs3LaO3
_chemical_formula_sum 'Cs6 La2 O6'
_symmetry_space_group_name_H-M 'P 1'
_symmetry_Int_Tables_number 1
_symmetry_space_group_name_Hall 'P 1'
_cell_length_a 7.8006
_cell_length_b 7.8006
_cell_length_c 7.8345
_cell_angle_alpha 94.72
_cell_angle_beta 94.72
_cell_angle_gamma 116.46
loop_
_atom_site_label
_atom_site_fract_x
_atom_site_fract_y
_atom_site_fract_z
Cs1 0.2123 0.7877 0.0000
Cs2 0.2580 0.7420 0.5000
Cs3 0.3544 0.3544 0.1485
Cs4 0.6456 0.6456 0.8515
Cs5 0.7420 0.2580 0.5000
Cs6 0.7877 0.2123 0.0000
La1 0.1813 0.1813 0.6537
La2 0.8187 0.8187 0.3463
O1 0.1020 0.1020 0.3533
O2 0.1742 0.4531 0.7688
O3 0.4531 0.1742 0.7688
O4 0.5469 0.8258 0.2312
O5 0.8258 0.5469 0.2312
O6 0.8980 0.8980 0.6467
```

=====

2.
Diffraction record for Cs3LaO3. The XRD peak list is calculated, not measured: it uses a cell relaxed with GGA-PBE and CuKα.
Intensities are scaled so that the largest is 100.

Main lines, by angle (2θ from 5° to 70°):
d/Å  I_rel
3.682  17
3.461  44
3.414  52
3.396  100
3.332  55
2.890  48
2.676  24
2.162  15
1.968  16
1.931  19

Atomic structure:
```
data_Cs3LaO3
_chemical_formula_sum 'Cs12 La4 O12'
_symmetry_space_group_name_H-M 'P 1'
_symmetry_Int_Tables_number 1
_symmetry_space_group_name_Hall 'P 1'
_cell_length_a 8.6398
_cell_length_b 7.8280
_cell_length_c 12.4786
_cell_angle_alpha 90.00
_cell_angle_beta 94.62
_cell_angle_gamma 90.00
loop_
_atom_site_label
_atom_site_fract_x
_atom_site_fract_y
_atom_site_fract_z
Cs1 0.0580 0.1198 0.1564
Cs2 0.0580 0.3802 0.6564
Cs3 0.3476 0.1603 0.9245
Cs4 0.3476 0.3397 0.4245
Cs5 0.3815 0.6785 0.8053
Cs6 0.3815 0.8215 0.3053
Cs7 0.6185 0.1785 0.6947
Cs8 0.6185 0.3215 0.1947
Cs9 0.6524 0.6603 0.5755
Cs10 0.6524 0.8397 0.0755
Cs11 0.9420 0.6198 0.3436
Cs12 0.9420 0.8802 0.8436
La1 0.1653 0.5901 0.0703
La2 0.1653 0.9099 0.5703
La3 0.8347 0.0901 0.4297
La4 0.8347 0.4099 0.9297
O1 0.1034 0.0526 0.4065
O2 0.1034 0.4474 0.9065
O3 0.2511 0.6443 0.5433
O4 0.2511 0.8557 0.0433
O5 0.3065 0.0579 0.6962
O6 0.3065 0.4421 0.1962
O7 0.6935 0.5579 0.8038
O8 0.6935 0.9421 0.3038
O9 0.7489 0.1443 0.9567
O10 0.7489 0.3557 0.4567
O11 0.8966 0.5526 0.0935
O12 0.8966 0.9474 0.5935
```

=====

3.
Diffraction record for CsLaS2. The XRD peak list is calculated, not measured: it uses a cell relaxed with GGA-PBE and CuKα.
Intensities are scaled so that the largest is 100.

Main lines, by angle (2θ from 5° to 70°):
d/Å  I_rel
4.032  26
3.592  50
3.194  100
2.357  36
2.172  35
2.035  16
1.912  21
1.796  18
1.477  13
1.384  15

Atomic structure:
```
data_CsLaS2
_chemical_formula_sum 'Cs1 La1 S2'
_symmetry_space_group_name_H-M 'P 1'
_symmetry_Int_Tables_number 1
_symmetry_space_group_name_Hall 'P 1'
_cell_length_a 8.4447
_cell_length_b 8.4447
_cell_length_c 8.4447
_cell_angle_alpha 29.80
_cell_angle_beta 29.80
_cell_angle_gamma 29.80
loop_
_atom_site_label
_atom_site_fract_x
_atom_site_fract_y
_atom_site_fract_z
Cs1 0.0000 0.0000 0.0000
La1 0.5000 0.5000 0.5000
S1 0.2295 0.2295 0.2295
S2 0.7705 0.7705 0.7705
```

=====

4.
Diffraction record for CsLaZnTe3. The XRD peak list is calculated, not measured: it uses a cell relaxed with GGA-PBE and CuKα.
Intensities are scaled so that the largest is 100.

Main lines, by angle (2θ from 5° to 70°):
d/Å  I_rel
8.577  44
3.691  40
3.584  47
3.440  100
3.094  30
3.008  30
2.509  37
2.300  32
2.024  44
1.912  29

Atomic structure:
```
data_CsLaZnTe3
_chemical_formula_sum 'Cs2 La2 Zn2 Te6'
_symmetry_space_group_name_H-M 'P 1'
_symmetry_Int_Tables_number 1
_symmetry_space_group_name_Hall 'P 1'
_cell_length_a 8.8800
_cell_length_b 8.8800
_cell_length_c 12.2659
_cell_angle_alpha 90.00
_cell_angle_beta 90.00
_cell_angle_gamma 149.98
loop_
_atom_site_label
_atom_site_fract_x
_atom_site_fract_y
_atom_site_fract_z
Cs1 0.2432 0.7568 0.7500
Cs2 0.7568 0.2432 0.2500
La1 0.5000 0.5000 0.0000
La2 0.5000 0.5000 0.5000
Zn1 0.0401 0.9599 0.2500
Zn2 0.9599 0.0401 0.7500
Te1 0.1237 0.8763 0.0669
Te2 0.1237 0.8763 0.4331
Te3 0.4433 0.5567 0.2500
Te4 0.5567 0.4433 0.7500
Te5 0.8763 0.1237 0.5669
Te6 0.8763 0.1237 0.9331
```

=====

5.
Diffraction record for CsLiMg6O7. The XRD peak list is calculated, not measured: it uses a cell relaxed with GGA-PBE and CuKα.
Intensities are scaled so that the largest is 100.

Main lines, by angle (2θ from 5° to 70°):
d/Å  I_rel
9.521  83
4.512  39
4.078  85
3.174  37
3.025  60
2.650  53
2.596  40
2.380  40
2.256  100
1.637  65

Atomic structure:
```
data_CsLiMg6O7
_chemical_formula_sum 'Cs1 Li1 Mg6 O7'
_symmetry_space_group_name_H-M 'P 1'
_symmetry_Int_Tables_number 1
_symmetry_space_group_name_Hall 'P 1'
_cell_length_a 4.5124
_cell_length_b 4.5124
_cell_length_c 9.5207
_cell_angle_alpha 90.00
_cell_angle_beta 90.00
_cell_angle_gamma 90.00
loop_
_atom_site_label
_atom_site_fract_x
_atom_site_fract_y
_atom_site_fract_z
Cs1 0.0000 0.0000 0.0000
Li1 0.0000 0.0000 0.4953
Mg1 0.0000 0.5000 0.2853
Mg2 0.0000 0.5000 0.7071
Mg3 0.5000 0.0000 0.2853
Mg4 0.5000 0.0000 0.7071
Mg5 0.5000 0.5000 0.0193
Mg6 0.5000 0.5000 0.4812
O1 0.0000 0.0000 0.2839
O2 0.0000 0.0000 0.7093
O3 0.0000 0.5000 0.4962
O4 0.0000 0.5000 0.9763
O5 0.5000 0.0000 0.4962
O6 0.5000 0.0000 0.9763
O7 0.5000 0.5000 0.2477
```

=====

6.
Diffraction record for CsLiMg6O7. The XRD peak list is calculated, not measured: it uses a cell relaxed with GGA-PBE and CuKα.
Intensities are scaled so that the largest is 100.

Main lines, by angle (2θ from 5° to 70°):
d/Å  I_rel
6.066  45
4.152  80
4.044  37
3.929  92
3.426  84
3.033  33
2.897  67
2.854  44
2.643  100
2.076  94

Atomic structure:
```
data_CsLiMg6O7
_chemical_formula_sum 'Cs1 Li1 Mg6 O7'
_symmetry_space_group_name_H-M 'P 1'
_symmetry_Int_Tables_number 1
_symmetry_space_group_name_Hall 'P 1'
_cell_length_a 4.1524
_cell_length_b 4.1524
_cell_length_c 12.1313
_cell_angle_alpha 90.00
_cell_angle_beta 90.00
_cell_angle_gamma 90.00
loop_
_atom_site_label
_atom_site_fract_x
_atom_site_fract_y
_atom_site_fract_z
Cs1 0.0000 0.0000 0.0000
Li1 0.5000 0.5000 0.1433
Mg1 0.0000 0.0000 0.5193
Mg2 0.0000 0.5000 0.3137
Mg3 0.0000 0.5000 0.7060
Mg4 0.5000 0.0000 0.3137
Mg5 0.5000 0.0000 0.7060
Mg6 0.5000 0.5000 0.5374
O1 0.0000 0.0000 0.3526
O2 0.0000 0.0000 0.7149
O3 0.0000 0.5000 0.1560
O4 0.0000 0.5000 0.5299
O5 0.5000 0.0000 0.1560
O6 0.5000 0.0000 0.5299
O7 0.5000 0.5000 0.7142
```

=====

7.
Diffraction record for CsLiMg6O7. The XRD peak list is calculated, not measured: it uses a cell relaxed with GGA-PBE and CuKα.
Intensities are scaled so that the largest is 100.

Main lines, by angle (2θ from 5° to 70°):
d/Å  I_rel
8.223  83
4.041  75
3.077  42
3.047  37
2.564  42
2.360  29
2.320  100
2.012  22
1.880  22
1.640  31

Atomic structure:
```
data_CsLiMg6O7
_chemical_formula_sum 'Cs1 Li1 Mg6 O7'
_symmetry_space_group_name_H-M 'P 1'
_symmetry_Int_Tables_number 1
_symmetry_space_group_name_Hall 'P 1'
_cell_length_a 4.6392
_cell_length_b 4.6392
_cell_length_c 8.2234
_cell_angle_alpha 90.00
_cell_angle_beta 90.00
_cell_angle_gamma 90.00
loop_
_atom_site_label
_atom_site_fract_x
_atom_site_fract_y
_atom_site_fract_z
Cs1 0.0000 0.0000 0.0000
Li1 0.0000 0.0000 0.5605
Mg1 0.0000 0.5000 0.3445
Mg2 0.0000 0.5000 0.8322
Mg3 0.5000 0.0000 0.3445
Mg4 0.5000 0.0000 0.8322
Mg5 0.5000 0.5000 0.1042
Mg6 0.5000 0.5000 0.5896
O1 0.0000 0.0000 0.3398
O2 0.0000 0.5000 0.0934
O3 0.0000 0.5000 0.6010
O4 0.5000 0.0000 0.0934
O5 0.5000 0.0000 0.6010
O6 0.5000 0.5000 0.3464
O7 0.5000 0.5000 0.8463
```